Record 1
Starting from a crystal structure in Alexandria, relaxed with PBE, the XRD peak list of HgPd2Pt4 was simulated for Cu Ka.

Main lines, by angle (10 to 90 degrees two-theta):
two_theta, d_spacing, I/Imax, index
38.69, 2.327, 100, 1 1 2
38.98, 2.311, 98, 3 1 -1
44.22, 2.048, 34, 2 0 -3
45.12, 2.009, 33, 0 2 0
46.08, 1.970, 31, 4 0 1
65.02, 1.434, 22, 2 2 -3
66.47, 1.407, 21, 4 2 1
77.46, 1.232, 13, 1 1 -5

```
data_HgPd2Pt4
_cell_length_a 8.842
_cell_length_b 4.019
_cell_length_c 6.474
_cell_angle_alpha 90.00
_cell_angle_beta 99.27
_cell_angle_gamma 90.00
_symmetry_space_group_name_H-M 'C 1 2/m 1'
_symmetry_Int_Tables_number 12
_symmetry_space_group_name_Hall '-C 2y'
loop_
_atom_site_label
_atom_site_fract_x
_atom_site_fract_y
_atom_site_fract_z
_atom_site_occupancy
Hg1 0.000 0.000 0.000 1
Pd1 0.214 0.500 0.147 1
Pt1 0.073 0.500 0.706 1
Pt2 0.144 0.000 0.433 1
```

***

Record 2
Starting from a crystal structure in Alexandria, relaxed with PBE, the XRD peak list of Pu3Hg2Pd3 was simulated for Cu Ka.

Main lines, by angle (10 to 90 degrees two-theta):
two_theta, d_spacing, I/Imax, index
32.44, 2.760, 35, 2 1 0
33.07, 2.709, 22, 1 0 2
36.00, 2.495, 100, 2 1 1
36.93, 2.434, 58, 3 0 0
37.49, 2.399, 87, 1 1 2
53.64, 1.709, 22, 2 2 2
58.02, 1.590, 26, 2 1 3
59.76, 1.547, 24, 4 0 2

```
data_Pu3Hg2Pd3
_cell_length_a 8.4316
_cell_length_b 8.4316
_cell_length_c 5.8340
_cell_angle_alpha 90.00
_cell_angle_beta 90.00
_cell_angle_gamma 120.00
_symmetry_space_group_name_H-M 'P 63/m c m'
_symmetry_Int_Tables_number 193
_symmetry_space_group_name_Hall '-P 6c 2'
loop_
_atom_site_label
_atom_site_fract_x
_atom_site_fract_y
_atom_site_fract_z
_atom_site_occupancy
Pu1 0.0000 0.2587 0.2500 1
Hg1 0.3333 0.6667 0.0000 1
Pd1 0.0000 0.3954 0.7500 1
```

***

Record 3
Starting from a crystal structure in Alexandria, relaxed with PBE, the XRD peak list of PuHg2Pd2 was simulated for Cu Ka.

Main lines, by angle (10 to 90 degrees two-theta):
two_theta, d_spacing, I/Imax, index
24.99, 3.564, 72, 1 1 3
31.45, 2.844, 47, 1 1 5
35.22, 2.548, 100, 1 3 3
38.13, 2.360, 56, 0 0 8
39.01, 2.309, 31, 2 0 2
40.22, 2.242, 75, 1 3 5
41.79, 2.162, 33, 2 2 0
57.83, 1.594, 32, 2 2 8

```
data_PuHg2Pd2
_cell_length_a 4.762
_cell_length_b 10.310
_cell_length_c 18.883
_cell_angle_alpha 90.00
_cell_angle_beta 90.00
_cell_angle_gamma 90.00
_symmetry_space_group_name_H-M 'F d d d'
_symmetry_Int_Tables_number 70
loop_
_symmetry_equiv_pos_as_xyz
'x,y,z'
'-x,-y,-z'
'-x+1/4,-y+1/4,z'
'x+1/4,y+1/4,-z'
'x,-y+1/4,-z+1/4'
'-x,y+1/4,z+1/4'
'-x+1/4,y,-z+1/4'
'x+1/4,-y,z+1/4'
'x,y+1/2,z+1/2'
'-x,-y+1/2,-z+1/2'
'-x+1/4,-y+3/4,z+1/2'
'x+1/4,y+3/4,-z+1/2'
'x,-y+3/4,-z+3/4'
'-x,y+3/4,z+3/4'
'-x+1/4,y+1/2,-z+3/4'
'x+1/4,-y+1/2,z+3/4'
'x+1/2,y,z+1/2'
'-x+1/2,-y,-z+1/2'
'-x+3/4,-y+1/4,z+1/2'
'x+3/4,y+1/4,-z+1/2'
'x+1/2,-y+1/4,-z+3/4'
'-x+1/2,y+1/4,z+3/4'
'-x+3/4,y,-z+3/4'
'x+3/4,-y,z+3/4'
'x+1/2,y+1/2,z'
'-x+1/2,-y+1/2,-z'
'-x+3/4,-y+3/4,z'
'x+3/4,y+3/4,-z'
'x+1/2,-y+3/4,-z+1/4'
'-x+1/2,y+3/4,z+1/4'
'-x+3/4,y+1/2,-z+1/4'
'x+3/4,-y+1/2,z+1/4'
loop_
_atom_site_label
_atom_site_fract_x
_atom_site_fract_y
_atom_site_fract_z
_atom_site_occupancy
Pu1 0.125 0.125 0.125 1
Hg1 0.125 0.125 0.502 1
Pd1 0.125 0.293 0.625 1
```